Record 1
Diffraction record for Rb2PuTlI6. The PXRD pattern is calculated, not measured: it uses a GGA-PBE-relaxed structure and Cu Kα (weighted mean of Kα1 and Kα2).
No peak broadening, texture or thermal motion is included.

Most intense lines, 15° ≤ 2θ ≤ 90°, sorted by position:
| 2theta | d_spacing | Rel. int. |
| --- | --- | --- |
| 20.05 | 4.429 | 50 |
| 20.18 | 4.400 | 50 |
| 23.00 | 3.867 | 78 |
| 23.99 | 3.710 | 73 |
| 28.48 | 3.134 | 100 |
| 28.71 | 3.110 | 66 |
| 30.80 | 2.903 | 79 |
| 31.89 | 2.806 | 53 |
| 35.98 | 2.496 | 100 |
| 36.24 | 2.479 | 49 |

Crystal structure
```
data_Rb2PuTlI6
_symmetry_space_group_name_H-M 'P 1 21/c 1'
_symmetry_Int_Tables_number 14
_symmetry_space_group_name_Hall '-P 2ybc'
_cell_length_a 8.5127
_cell_length_b 9.2632
_cell_length_c 15.0109
_cell_angle_alpha 90.00
_cell_angle_beta 124.04
_cell_angle_gamma 90.00
loop_
_atom_site_label
_atom_site_fract_x
_atom_site_fract_y
_atom_site_fract_z
Rb1 0.2143 0.0881 0.2496
Pu1 0.5000 0.0000 0.0000
Tl1 0.0000 0.0000 0.5000
I1 0.1458 0.1797 0.9420
I2 0.2727 0.7118 0.9401
I3 0.3850 0.0382 0.7652
```

Record 2
Diffraction record for Zr2In2Ir3. The PXRD pattern is calculated, not measured: it uses a GGA-PBE-relaxed structure and Cu Kα (weighted mean of Kα1 and Kα2).
No peak broadening, texture or thermal motion is included.

Most intense lines, 15° ≤ 2θ ≤ 90°, sorted by position:
| 2theta | d_spacing | Rel. int. |
| --- | --- | --- |
| 22.49 | 3.953 | 15 |
| 23.57 | 3.774 | 13 |
| 36.33 | 2.473 | 22 |
| 38.81 | 2.320 | 100 |
| 39.77 | 2.267 | 85 |
| 56.82 | 1.620 | 20 |
| 70.31 | 1.339 | 11 |
| 70.88 | 1.330 | 21 |
| 70.97 | 1.328 | 10 |
| 72.82 | 1.299 | 11 |

Crystal structure
```
data_Zr2In2Ir3
_symmetry_space_group_name_H-M 'C 1 2/m 1'
_symmetry_Int_Tables_number 12
_symmetry_space_group_name_Hall '-C 2y'
_cell_length_a 8.0476
_cell_length_b 4.6350
_cell_length_c 7.7997
_cell_angle_alpha 90.00
_cell_angle_beta 110.20
_cell_angle_gamma 90.00
loop_
_atom_site_label
_atom_site_fract_x
_atom_site_fract_y
_atom_site_fract_z
Zr1 0.1182 0.0000 0.3536
In1 0.1296 0.5000 0.8897
Ir1 0.0000 0.5000 0.5000
Ir2 0.2429 0.0000 0.7284
```